# La4BiSb3
Calculated powder diffractogram, Cu Kα, 1.54184 Å. Input: a crystal structure in Alexandria, relaxed with GGA-PBE.
Intensities are scaled so that the largest is 100.

Top 12 peaks for 5 to 70 degrees two-theta, in order of rising 2θ:
2θ (°)	Rel. int.
13.47	1
15.08	2
19.11	1
24.42	1
27.15	100
30.43	1
31.20	1
36.84	1
38.77	78
47.97	28
55.99	13
63.31	37

Structural model:
a = 8.0468 Å, b = 8.0468 Å, c = 8.0468 Å
α = 131.83°, β = 131.83°, γ = 70.50°
Fractional coordinates of all 8 atoms:
La: 0.0000 0.5000 0.5000
La: 0.2474 0.2474 0.0000
La: 0.5000 0.0000 0.5000
La: 0.7526 0.7526 0.0000
Bi: 0.5000 0.5000 0.0000
Sb: 0.0000 0.0000 0.0000
Sb: 0.2500 0.7500 0.5000
Sb: 0.7500 0.2500 0.5000

# La8Bi3Sb3
Calculated powder diffractogram, Cu Kα, 1.54184 Å. Input: a crystal structure in Alexandria, relaxed with GGA-PBE.
Intensities are scaled so that the largest is 100.

Top 12 peaks for 5 to 70 degrees two-theta, in order of rising 2θ:
2θ (°)	Rel. int.
22.24	9
28.84	100
34.27	66
41.24	17
43.35	13
45.39	14
47.32	13
47.38	8
58.02	11
58.12	19
59.78	7
61.36	11

Structural model:
a = 8.4765 Å, b = 8.4765 Å, c = 9.7792 Å
α = 125.20°, β = 125.20°, γ = 70.51°
Fractional coordinates of all 14 atoms:
La: 0.0679 0.5715 0.8883
La: 0.0736 0.0736 0.3965
La: 0.2201 0.4334 0.2604
La: 0.4285 0.9321 0.1117
La: 0.5632 0.2856 0.7403
La: 0.5666 0.7799 0.7396
La: 0.7144 0.4368 0.2597
La: 0.9264 0.9264 0.6035
Bi: 0.3230 0.1802 0.8786
Bi: 0.8198 0.6770 0.1214
Bi: 0.9416 0.0584 0.0000
Sb: 0.1950 0.5575 0.6278
Sb: 0.4425 0.8050 0.3722
Sb: 0.6982 0.3018 0.5000

# La3BiSb2
Calculated powder diffractogram, Cu Kα, 1.54184 Å. Input: a crystal structure in Alexandria, relaxed with GGA-PBE.
Intensities are scaled so that the largest is 100.

Top 12 peaks for 5 to 70 degrees two-theta, in order of rising 2θ:
2θ (°)	Rel. int.
12.69	1
14.89	2
20.11	1
26.71	2
27.11	100
33.99	1
34.93	1
38.71	78
47.89	28
53.11	1
55.90	13
63.20	37

Structural model:
a = 8.0556 Å, b = 8.0556 Å, c = 8.0556 Å
α = 146.41°, β = 131.81°, γ = 60.02°
Fractional coordinates of all 6 atoms:
La: 0.0000 0.0000 0.0000
La: 0.3301 0.3301 0.0000
La: 0.6699 0.6699 0.0000
Bi: 0.5000 0.0000 0.5000
Sb: 0.1659 0.6659 0.5000
Sb: 0.8341 0.3341 0.5000

# La6Bi4Sb
Calculated powder diffractogram, Cu Kα, 1.54184 Å. Input: a crystal structure in Alexandria, relaxed with GGA-PBE.
Intensities are scaled so that the largest is 100.

Top 12 peaks for 5 to 70 degrees two-theta, in order of rising 2θ:
2θ (°)	Rel. int.
23.58	58
27.12	42
29.00	88
30.44	70
32.05	100
33.24	24
34.79	22
36.39	37
41.35	35
44.96	23
58.24	29
61.85	31

Structural model:
a = 9.2674 Å, b = 9.2674 Å, c = 9.2674 Å
α = 89.58°, β = 89.58°, γ = 89.58°
Fractional coordinates of all 22 atoms:
La: 0.0588 0.9200 0.6854
La: 0.0800 0.3146 0.9412
La: 0.1854 0.4200 0.5588
La: 0.3146 0.9412 0.0800
La: 0.4200 0.5588 0.1854
La: 0.4412 0.8146 0.5800
La: 0.5588 0.1854 0.4200
La: 0.5800 0.4412 0.8146
La: 0.6854 0.0588 0.9200
La: 0.8146 0.5800 0.4412
La: 0.9200 0.6854 0.0588
La: 0.9412 0.0800 0.3146
Bi: 0.1350 0.7500 0.3650
Bi: 0.2500 0.2500 0.2500
Bi: 0.2500 0.6350 0.8650
Bi: 0.3650 0.1350 0.7500
Bi: 0.6350 0.8650 0.2500
Bi: 0.7500 0.3650 0.1350
Bi: 0.7500 0.7500 0.7500
Bi: 0.8650 0.2500 0.6350
Sb: 0.0000 0.0000 0.0000
Sb: 0.5000 0.5000 0.5000